(1)
Computed powder X-ray diffraction pattern of Li2PuTl2Se4 for Cu Kα, from DFT lattice parameters and positions (PBE).

Principal peaks in the range 2θ from 10° to 80°, in order of rising 2θ:
(1 1 0), 2θ = 21.71°, d 4.093, rel. 44; (4 0 -1), 2θ = 23.43°, d 3.796, rel. 56; (1 1 -2), 2θ = 31.42°, d 2.847, rel. 100; (4 0 1), 2θ = 31.53°, d 2.838, rel. 35; (3 1 1), 2θ = 33.32°, d 2.689, rel. 40; (7 1 -2), 2θ = 47.58°, d 1.911, rel. 37

Cell and atoms:
```
data_Li2PuTl2Se4
_chemical_formula_sum 'Li4 Pu2 Tl4 Se8'
_space_group_name_H-M_alt 'C 1 2/m 1'
_space_group_IT_number 12
_cell_length_a 15.3639
_cell_length_b 4.2697
_cell_length_c 7.6886
_cell_angle_alpha 90.00
_cell_angle_beta 110.71
_cell_angle_gamma 90.00
loop_
_space_group_symop_operation_xyz
'x,y,z'
'-x,-y,-z'
'-x,y,-z'
'x,-y,z'
'x+1/2,y+1/2,z'
'-x+1/2,-y+1/2,-z'
'-x+1/2,y+1/2,-z'
'x+1/2,-y+1/2,z'
loop_
_atom_site_label
_atom_site_type_symbol
_atom_site_fract_x
_atom_site_fract_y
_atom_site_fract_z
Li1 Li 0.1824 0.0000 0.4904
Pu1 Pu 0.0000 0.5000 0.5000
Tl1 Tl 0.1400 0.5000 0.0644
Se1 Se 0.0139 0.0000 0.2671
Se2 Se 0.1977 0.5000 0.6807
```

***

(2)
Computed powder X-ray diffraction pattern of Pr3Ni13B2 for Cu Kα, from DFT lattice parameters and positions (PBE).

Principal peaks in the range 2θ from 10° to 80°, in order of rising 2θ:
(1 0 3), 2θ = 31.92°, d 2.804, rel. 68; (1 1 0), 2θ = 35.50°, d 2.528, rel. 31; (2 0 0), 2θ = 41.23°, d 2.190, rel. 71; (1 1 3), 2θ = 43.55°, d 2.078, rel. 100; (2 1 3), 2θ = 61.52°, d 1.507, rel. 21; (3 0 3), 2θ = 69.33°, d 1.355, rel. 24

Cell and atoms:
```
data_Pr3Ni13B2
_chemical_formula_sum 'Pr3 Ni13 B2'
_space_group_name_H-M_alt 'P 6/m m m'
_space_group_IT_number 191
_space_group_name_Hall '-P 6 2'
_cell_length_a 5.0568
_cell_length_b 5.0568
_cell_length_c 10.9486
_cell_angle_alpha 90.00
_cell_angle_beta 90.00
_cell_angle_gamma 120.00
loop_
_atom_site_label
_atom_site_type_symbol
_atom_site_fract_x
_atom_site_fract_y
_atom_site_fract_z
Pr1 Pr 0.0000 0.0000 0.0000
Pr2 Pr 0.0000 0.0000 0.3290
Ni1 Ni 0.0000 0.5000 0.1322
Ni2 Ni 0.0000 0.5000 0.5000
Ni3 Ni 0.3333 0.6667 0.3190
B1 B 0.3333 0.6667 0.0000
```

***

(3)
Computed powder X-ray diffraction pattern of LaPm4Sm for Cu Kα, from DFT lattice parameters and positions (PBE).

Principal peaks in the range 2θ from 10° to 80°, in order of rising 2θ:
(2 0 2), 2θ = 29.85°, d 2.993, rel. 100; (3 1 0), 2θ = 34.55°, d 2.596, rel. 34; (2 0 -4), 2θ = 34.72°, d 2.584, rel. 17; (1 1 4), 2θ = 49.79°, d 1.831, rel. 24; (5 1 2), 2θ = 59.02°, d 1.565, rel. 15; (7 1 -2), 2θ = 59.04°, d 1.565, rel. 15

Cell and atoms:
```
data_LaPm4Sm
_chemical_formula_sum 'La2 Pm8 Sm2'
_space_group_name_H-M_alt 'C 1 2/m 1'
_space_group_IT_number 12
_cell_length_a 12.1621
_cell_length_b 3.6715
_cell_length_c 10.3347
_cell_angle_alpha 90.00
_cell_angle_beta 115.10
_cell_angle_gamma 90.00
loop_
_space_group_symop_operation_xyz
'x,y,z'
'-x,-y,-z'
'-x,y,-z'
'x,-y,z'
'x+1/2,y+1/2,z'
'-x+1/2,-y+1/2,-z'
'-x+1/2,y+1/2,-z'
'x+1/2,-y+1/2,z'
loop_
_atom_site_label
_atom_site_type_symbol
_atom_site_fract_x
_atom_site_fract_y
_atom_site_fract_z
La1 La 0.0000 0.0000 0.0000
Pm1 Pm 0.1674 0.5000 0.3355
Pm2 Pm 0.1668 0.5000 0.8316
Sm1 Sm 0.0000 0.0000 0.5000
```

***

(4)
Computed powder X-ray diffraction pattern of CsTl6Hg2 for Cu Kα, from DFT lattice parameters and positions (PBE).

Principal peaks in the range 2θ from 10° to 80°, in order of rising 2θ:
(1 1 2), 2θ = 28.78°, d 3.102, rel. 100; (2 0 0), 2θ = 33.72°, d 2.658, rel. 88; (1 1 3), 2θ = 34.19°, d 2.623, rel. 99; (2 2 0), 2θ = 48.44°, d 1.879, rel. 32; (3 1 2), 2θ = 57.32°, d 1.607, rel. 30; (3 1 3), 2θ = 60.62°, d 1.528, rel. 39

Cell and atoms:
```
data_CsTl6Hg2
_chemical_formula_sum 'Cs1 Tl6 Hg2'
_space_group_name_H-M_alt 'P 4/m m m'
_space_group_IT_number 123
_space_group_name_Hall '-P 4 2'
_cell_length_a 5.3156
_cell_length_b 5.3156
_cell_length_c 10.9835
_cell_angle_alpha 90.00
_cell_angle_beta 90.00
_cell_angle_gamma 90.00
loop_
_atom_site_label
_atom_site_type_symbol
_atom_site_fract_x
_atom_site_fract_y
_atom_site_fract_z
Cs1 Cs 0.0000 0.0000 0.0000
Tl1 Tl 0.0000 0.0000 0.5000
Tl2 Tl 0.0000 0.5000 0.3060
Tl3 Tl 0.5000 0.5000 0.5000
Hg1 Hg 0.5000 0.5000 0.1402
```